Record 1
For MgBi2P2O9, a DFT-relaxed cell (GGA-PBE, the Materials Project) gives the simulated X-ray powder pattern in this record (copper Kα).
Kinematic intensities with the Lorentz-polarization factor, no thermal factor.

The 10 most intense peaks (2θ from 15° to 90°), sorted by position:
16.5°, rel. 24, (2 1 0); 17.4°, rel. 18, (2 0 1); 19.1°, rel. 22, (1 1 1); 21.3°, rel. 53, (3 0 1); 27.0°, rel. 30, (0 0 2); 28.8°, rel. 100, (1 2 1); 30.9°, rel. 50, (5 0 1); 33.4°, rel. 34, (4 2 0); 42.0°, rel. 18, (6 2 0); 43.5°, rel. 25, (4 2 2)

```
data_MgBi2P2O9
_chemical_formula_sum 'Mg4 Bi8 P8 O36'
_symmetry_space_group_name_H-M 'P n m a'
_symmetry_Int_Tables_number 62
_cell_length_a 16.096
_cell_length_b 7.180
_cell_length_c 6.597
_cell_angle_alpha 90.00
_cell_angle_beta 90.00
_cell_angle_gamma 90.00
loop_
_symmetry_equiv_pos_as_xyz
'x,y,z'
'-x,-y,-z'
'-x+1/2,-y,z+1/2'
'x+1/2,y,-z+1/2'
'x+1/2,-y+1/2,-z+1/2'
'-x+1/2,y+1/2,z+1/2'
'-x,y+1/2,-z'
'x,-y+1/2,z'
loop_
_atom_site_label
_atom_site_fract_x
_atom_site_fract_y
_atom_site_fract_z
Mg1 0.237 0.250 0.062
Bi1 0.000 0.000 0.000
Bi2 0.116 0.250 0.589
P1 0.085 0.750 0.564
P2 0.196 0.750 0.060
O1 0.020 0.750 0.745
O2 0.033 0.750 0.368
O3 0.087 0.250 0.911
O4 0.144 0.580 0.578
O5 0.146 0.568 0.067
O6 0.242 0.250 0.749
O7 0.243 0.250 0.373
```

Record 2
For MgCuAsO5, a DFT-relaxed cell (GGA-PBE, the Materials Project) gives the simulated X-ray powder pattern in this record (copper Kα).
Kinematic intensities with the Lorentz-polarization factor, no thermal factor.

The 10 most intense peaks (2θ from 15° to 90°), sorted by position:
15.4°, rel. 56, (0 1 1); 18.4°, rel. 39, (1 0 1); 21.9°, rel. 58, (1 1 1); 23.0°, rel. 56, (0 1 2); 25.8°, rel. 42, (0 2 1); 28.5°, rel. 76, (1 2 0); 31.0°, rel. 52, (0 2 2); 32.0°, rel. 100, (0 1 3); 35.1°, rel. 81, (2 1 1); 57.9°, rel. 51, (2 3 3)

```
data_MgCuAsO5
_chemical_formula_sum 'Mg4 Cu4 As4 O20'
_symmetry_space_group_name_H-M 'P 21 21 21'
_symmetry_Int_Tables_number 19
_cell_length_a 5.710
_cell_length_b 7.477
_cell_length_c 9.043
_cell_angle_alpha 90.00
_cell_angle_beta 90.00
_cell_angle_gamma 90.00
loop_
_symmetry_equiv_pos_as_xyz
'x,y,z'
'-x+1/2,-y,z+1/2'
'x+1/2,-y+1/2,-z'
'-x,y+1/2,-z+1/2'
loop_
_atom_site_label
_atom_site_fract_x
_atom_site_fract_y
_atom_site_fract_z
Mg1 0.038 0.180 0.314
Cu1 0.249 0.751 0.499
As1 0.028 0.102 0.658
O1 0.003 0.633 0.412
O2 0.004 0.413 0.962
O3 0.096 0.261 0.532
O4 0.228 0.627 0.748
O5 0.239 0.931 0.274
```

Record 3
For TlCdF3, a DFT-relaxed cell (GGA-PBE, the Materials Project) gives the simulated X-ray powder pattern in this record (copper Kα).
Kinematic intensities with the Lorentz-polarization factor, no thermal factor.

The 10 most intense peaks (2θ from 15° to 90°), sorted by position:
28.1°, rel. 100, (1 1 0); 28.1°, rel. 20, (1 0 -1); 40.1°, rel. 37, (2 0 0); 49.6°, rel. 21, (1 2 1); 49.7°, rel. 30, (-1 1 2); 58.0°, rel. 12, (2 2 0); 65.6°, rel. 9, (1 0 3); 65.7°, rel. 11, (3 1 0); 79.8°, rel. 9, (1 -2 3); 80.0°, rel. 9, (1 3 -2)

```
data_TlCdF3
_chemical_formula_sum 'Tl1 Cd1 F3'
_symmetry_space_group_name_H-M 'P 1'
_symmetry_Int_Tables_number 1
_cell_length_a 4.494
_cell_length_b 4.497
_cell_length_c 4.498
_cell_angle_alpha 89.89
_cell_angle_beta 89.76
_cell_angle_gamma 89.95
loop_
_symmetry_equiv_pos_as_xyz
'x,y,z'
loop_
_atom_site_label
_atom_site_fract_x
_atom_site_fract_y
_atom_site_fract_z
Tl1 0.000 0.000 0.000
Cd1 0.494 0.505 0.510
F1 0.488 0.006 0.514
F2 0.493 0.506 0.012
F3 0.993 0.516 0.529
```

Record 4
For CsPbBr3, a DFT-relaxed cell (GGA-PBE, the Materials Project) gives the simulated X-ray powder pattern in this record (copper Kα).
Kinematic intensities with the Lorentz-polarization factor, no thermal factor.

The 10 most intense peaks (2θ from 15° to 90°), sorted by position:
21.0°, rel. 98, (1 0 2); 21.1°, rel. 61, (0 2 2); 29.6°, rel. 62, (2 0 0); 30.0°, rel. 100, (0 4 0); 36.6°, rel. 31, (2 2 2); 36.8°, rel. 71, (1 2 4); 42.6°, rel. 76, (2 4 0); 42.9°, rel. 31, (0 4 4); 53.0°, rel. 33, (2 4 4); 57.6°, rel. 25, (2 6 2)

```
data_CsPbBr3
_chemical_formula_sum 'Cs4 Pb4 Br12'
_symmetry_space_group_name_H-M 'A m m 2'
_symmetry_Int_Tables_number 38
_cell_length_a 6.028
_cell_length_b 11.916
_cell_length_c 11.945
_cell_angle_alpha 90.00
_cell_angle_beta 90.00
_cell_angle_gamma 90.00
loop_
_symmetry_equiv_pos_as_xyz
'x,y,z'
'-x,-y,z'
'-x,y,z'
'x,-y,z'
'x,y+1/2,z+1/2'
'-x,-y+1/2,z+1/2'
'-x,y+1/2,z+1/2'
'x,-y+1/2,z+1/2'
loop_
_atom_site_label
_atom_site_fract_x
_atom_site_fract_y
_atom_site_fract_z
Cs1 0.000 0.000 0.000
Cs2 0.000 0.000 0.499
Pb1 0.500 0.250 0.244
Br1 0.000 0.250 0.222
Br2 0.500 0.000 0.206
Br3 0.500 0.000 0.792
Br4 0.500 0.207 0.493
```

Record 5
For CaTlCl3, a DFT-relaxed cell (GGA-PBE, the Materials Project) gives the simulated X-ray powder pattern in this record (copper Kα).
Kinematic intensities with the Lorentz-polarization factor, no thermal factor.

The 10 most intense peaks (2θ from 15° to 90°), sorted by position:
17.1°, rel. 27, (0 0 2); 21.4°, rel. 88, (0 2 2); 24.1°, rel. 80, (1 1 1); 29.0°, rel. 30, (1 3 0); 30.3°, rel. 100, (1 3 1); 31.0°, rel. 32, (0 4 2); 34.5°, rel. 60, (1 1 3); 34.7°, rel. 26, (0 0 4); 39.2°, rel. 31, (1 3 3); 53.3°, rel. 25, (1 3 5)

```
data_CaTlCl3
_chemical_formula_sum 'Ca4 Tl4 Cl12'
_symmetry_space_group_name_H-M 'C m c m'
_symmetry_Int_Tables_number 63
_symmetry_space_group_name_Hall '-C 2c 2'
_cell_length_a 4.127
_cell_length_b 13.876
_cell_length_c 10.348
_cell_angle_alpha 90.00
_cell_angle_beta 90.00
_cell_angle_gamma 90.00
loop_
_atom_site_label
_atom_site_fract_x
_atom_site_fract_y
_atom_site_fract_z
Ca1 0.000 0.000 0.000
Tl1 0.000 0.259 0.250
Cl1 0.000 0.069 0.750
Cl2 0.000 0.371 0.550
```